The following is a computed X-ray diffraction stick pattern of K2Mn2Se2O. It was derived from a structure optimized by DFT (GGA+U), using a wavelength of 1.5418 Å.
Intensities are scaled so that the largest is 100.

Largest 8 diffraction maxima, most intense first, 2θ from 10° to 90°:
2θ 36.14, intensity 100
2θ 10.69, intensity 74
2θ 33.90, intensity 71
2θ 41.06, intensity 60
2θ 54.27, intensity 34
2θ 30.72, intensity 28
2θ 28.72, intensity 26
2θ 71.61, intensity 25

```
K2Mn2Se2O
1.0
-2.1982 2.1982 8.2737
2.1982 -2.1982 8.2737
2.1982 2.1982 -8.2737
K Mn Se O
2 2 2 1
Cartesian
0.0000 0.0000 2.8482
0.0000 0.0000 13.6991
2.1982 0.0000 0.0000
0.0000 2.1982 0.0000
0.0000 0.0000 6.4034
0.0000 0.0000 10.1439
0.0000 0.0000 0.0000
```

=====

The following is a computed X-ray diffraction stick pattern of Li4CrW3O12. It was derived from a structure optimized by DFT (GGA+U), using a wavelength of 1.5418 Å.
Intensities are scaled so that the largest is 100.

Largest 8 diffraction maxima, most intense first, 2θ from 10° to 90°:
2θ 23.68, intensity 100
2θ 23.79, intensity 49
2θ 32.79, intensity 39
2θ 34.66, intensity 28
2θ 53.31, intensity 20
2θ 32.96, intensity 19
2θ 48.45, intensity 18
2θ 42.39, intensity 15

```
Li4CrW3O12
1.0
5.1724 0.0000 0.0000
-0.0040 5.4838 0.0000
-0.0442 -0.5711 7.4815
Li Cr W O
4 1 3 12
Cartesian
0.0000 0.0000 0.0000
0.0363 0.3513 3.1213
2.5792 2.5182 0.0617
2.6196 2.3088 3.5908
2.6151 0.1405 1.5323
-0.0317 2.6176 5.3431
0.0476 2.9314 1.5983
2.5713 -0.1563 5.2725
0.6437 2.7450 3.4418
0.8921 4.2603 5.7524
1.0104 1.3129 1.1105
1.5733 3.9628 1.0827
1.5578 1.6004 5.7301
2.0010 0.0970 3.4572
3.1639 -0.2018 7.0889
3.5699 3.6206 4.8016
3.6520 1.8471 1.9486
4.2147 1.0083 4.7696
4.2655 4.5598 1.9154
4.5036 2.4870 7.1443
```